Entry 1:
For ScH3Br3N, a crystal structure in Alexandria, relaxed with PBE gives the theoretical powder diffractogram in this record (copper Kα).
No peak broadening, texture or thermal motion is included.

Cell and atoms:
abc: 7.6775 9.7911 9.8477
angles: 73.70 76.90 82.07
Space group P-1 (No. 2)
Inequivalent atoms, fractional coordinates:
1 Sc 0.0782 0.1957 0.4404 (multiplicity 2)
2 Sc 0.3975 0.3069 0.0520 (multiplicity 2)
3 H 0.2244 0.7596 0.0059 (multiplicity 2)
4 H 0.2305 0.4085 0.5088 (multiplicity 2)
5 H 0.2346 0.2663 0.6464 (multiplicity 2)
6 H 0.2985 0.7598 0.1501 (multiplicity 2)
7 H 0.3180 0.8996 0.0092 (multiplicity 2)
8 H 0.3888 0.2778 0.4983 (multiplicity 2)
9 Br 0.0917 0.4102 0.2024 (multiplicity 2)
10 Br 0.0988 0.9637 0.6601 (multiplicity 2)
11 Br 0.2041 0.6851 0.4325 (multiplicity 2)
12 Br 0.2442 0.1782 0.9256 (multiplicity 2)
13 Br 0.3959 0.0957 0.2929 (multiplicity 2)
14 Br 0.4151 0.5432 0.8360 (multiplicity 2)
15 N 0.2546 0.2989 0.5355 (multiplicity 2)
16 N 0.3274 0.7896 0.0388 (multiplicity 2)

Peak list (10 most intense, 2θ = 10–90°, by angle)
index  2θ/deg  I_rel
0 1 1  11.57  59
1 0 1  13.70  45
0 3 1  27.69  55
0 1 3  27.98  54
-2 1 1  28.94  61
2 2 2  29.39  100
0 2 -2  30.44  76
2 3 3  37.94  26
2 1 -3  43.99  29
4 1 1  47.53  45

Entry 2:
For HoAg2Pb2, a crystal structure in Alexandria, relaxed with PBE gives the theoretical powder diffractogram in this record (copper Kα).
No peak broadening, texture or thermal motion is included.

Cell and atoms:
abc: 4.5694 23.1728 4.5586
angles: 90.00 90.00 90.00
Space group Cmcm (No. 63)
Inequivalent atoms, fractional coordinates:
1 Ho 0.0000 0.1369 0.2500 (multiplicity 4)
2 Ag 0.0000 0.0381 0.7500 (multiplicity 4)
3 Ag 0.0000 0.4613 0.7500 (multiplicity 4)
4 Pb 0.0000 0.2499 0.7500 (multiplicity 4)
5 Pb 0.0000 0.3771 0.2500 (multiplicity 4)

Peak list (10 most intense, 2θ = 10–90°, by angle)
index  2θ/deg  I_rel
1 3 1  30.01  24
0 8 0  30.87  14
1 5 1  33.85  100
2 0 0  39.49  43
2 8 0  50.94  14
2 10 0  56.61  10
2 0 2  57.08  15
1 13 1  59.22  10
3 5 1  67.97  14
1 5 3  68.10  13

Entry 3:
For LaAu2Cl, a crystal structure in Alexandria, relaxed with PBE gives the theoretical powder diffractogram in this record (copper Kα).
No peak broadening, texture or thermal motion is included.

Cell and atoms:
abc: 7.1708 7.1708 7.1708
angles: 90.00 90.00 90.00
Space group F-43m (No. 216)
Inequivalent atoms, fractional coordinates:
1 La 0.0000 0.0000 0.0000 (multiplicity 4)
2 Au 0.0000 0.0000 0.5000 (multiplicity 4)
3 Au 0.2500 0.2500 0.2500 (multiplicity 4)
4 Cl 0.2500 0.2500 0.7500 (multiplicity 4)

Peak list (10 most intense, 2θ = 10–90°, by angle)
index  2θ/deg  I_rel
1 1 1  21.46  20
2 2 0  35.41  100
3 1 1  41.78  12
4 0 0  50.94  18
3 3 1  55.89  5
4 2 2  63.56  37
5 1 1  67.92  4
4 4 0  74.91  11
5 3 1  78.99  4
6 2 0  85.68  17

Entry 4:
For AcLa4TbNd2, a crystal structure in Alexandria, relaxed with PBE gives the theoretical powder diffractogram in this record (copper Kα).
No peak broadening, texture or thermal motion is included.

Cell and atoms:
abc: 11.7865 5.2781 10.6184
angles: 90.00 116.77 90.00
Space group C2/m (No. 12)
Inequivalent atoms, fractional coordinates:
1 Ac 0.0000 0.0000 0.0000 (multiplicity 2)
2 La 0.2468 0.0000 0.8693 (multiplicity 4)
3 La 0.2488 0.5000 0.6216 (multiplicity 4)
4 Tb 0.0000 0.0000 0.5000 (multiplicity 2)
5 Nd 0.0016 0.5000 0.7441 (multiplicity 4)

Peak list (10 most intense, 2θ = 10–90°, by angle)
index  2θ/deg  I_rel
1 1 2  29.28  100
2 0 -4  33.76  17
0 2 0  33.97  17
4 0 0  34.08  17
6 0 -4  48.69  24
4 2 0  48.88  12
5 1 -6  57.66  15
1 3 2  57.93  15
7 1 -2  58.08  15
6 2 -4  60.73  13